Al2CrTc: simulated X-ray powder pattern (Cu Ka), based on a cell relaxed with GGA-PBE.

Most intense lines, 2θ from 10° to 80°, by angle:
hkl 0 1 0, 21.60°, I = 33; hkl 1 0 1, 35.29°, I = 19; hkl 1 1 1, 41.75°, I = 100; hkl 0 0 2, 42.00°, I = 25; hkl 0 2 0, 44.02°, I = 21; hkl 0 2 2, 62.47°, I = 14; hkl 1 1 3, 76.57°, I = 15; hkl 1 3 1, 79.38°, I = 14

Crystal structure
a = 3.153 Å, b = 4.114 Å, c = 4.302 Å
α = 90.00°, β = 90.00°, γ = 90.00°
Space group Pmmm (No. 47)
Asymmetric unit:
Al: 0.000 0.000 0.000 x1
Al: 0.500 0.000 0.500 x1
Cr: 0.000 0.500 0.500 x1
Tc: 0.500 0.500 0.000 x1